[1]
Diffraction record for MnV2O6. The X-ray diffraction stick pattern is calculated, not measured: it uses the PBE+U geometry in the Materials Project and Cu Kα, 1.54184 Å.
Intensities are scaled so that the largest is 100.

Peak list (10 most intense, 2θ from 10° to 90°, in order of rising 2θ)
d 4.937, rel. 47
d 4.674, rel. 52
d 3.844, rel. 25
d 3.581, rel. 19
d 3.260, rel. 100
d 3.047, rel. 62
d 2.786, rel. 44
d 2.604, rel. 26
d 2.079, rel. 24
d 1.725, rel. 18

```
MnV2O6
1.0
5.9692 0.0000 0.0000
1.8603 6.7236 0.0000
1.8604 0.2278 6.7222
Mn V O
2 4 12
Cartesian
2.4187 0.7004 2.7514 Mn
7.2713 6.2510 3.9707 Mn
3.5036 1.6293 5.9506 V
3.2015 4.1977 1.9351 V
6.4885 2.7538 4.7871 V
6.1863 5.3221 0.7716 V
1.7450 4.3763 0.8920 O
3.1671 5.5191 3.0400 O
1.7238 0.6660 0.7342 O
3.1213 2.7168 2.7190 O
3.5382 0.4801 4.6676 O
4.9607 2.6653 5.7365 O
4.7293 4.2861 0.9857 O
6.1518 6.4713 2.0546 O
6.5687 4.2347 4.0031 O
7.9662 6.2854 5.9879 O
6.5229 1.4323 3.6821 O
7.9450 2.5751 5.8302 O
```

---

[2]
Diffraction record for MnV3O8. The X-ray diffraction stick pattern is calculated, not measured: it uses the PBE+U geometry in the Materials Project and Cu Kα, 1.54184 Å.
Intensities are scaled so that the largest is 100.

Peak list (10 most intense, 2θ from 10° to 90°, in order of rising 2θ)
d 4.558, rel. 100
d 4.539, rel. 30
d 3.571, rel. 5
d 3.162, rel. 6
d 3.146, rel. 5
d 2.848, rel. 24
d 2.766, rel. 16
d 2.743, rel. 6
d 2.424, rel. 5
d 1.895, rel. 5

```
MnV3O8
1.0
5.6910 0.0000 0.0000
-0.0592 5.7022 0.0000
-0.0420 -0.0364 7.5793
Mn V O
1 3 8
Cartesian
0.0000 0.0000 0.0000 Mn
2.0505 2.7372 3.7842 V
2.7373 5.5802 5.6303 V
4.8927 2.8566 1.9135 V
0.3316 2.4955 3.2688 O
1.8217 5.3191 7.0390 O
2.2100 4.4544 4.3271 O
2.5055 1.5698 5.0808 O
3.2066 2.4436 2.4311 O
4.3785 5.3470 5.9681 O
5.0224 4.4986 1.5276 O
5.3161 1.9205 0.5636 O
```

---

[3]
Diffraction record for MnV4O12. The X-ray diffraction stick pattern is calculated, not measured: it uses the PBE+U geometry in the Materials Project and Cu Kα, 1.54184 Å.
Intensities are scaled so that the largest is 100.

Peak list (10 most intense, 2θ from 10° to 90°, in order of rising 2θ)
d 7.405, rel. 38
d 3.703, rel. 99
d 3.640, rel. 100
d 3.583, rel. 99
d 3.157, rel. 31
d 2.717, rel. 55
d 2.659, rel. 48
d 2.646, rel. 44
d 2.193, rel. 51
d 1.653, rel. 43

```
MnV4O12
1.0
4.9421 0.0000 0.0000
0.0938 5.3238 0.0000
0.1338 0.8136 7.4054
Mn V O
1 4 12
Cartesian
0.0000 0.0000 0.0000 Mn
0.2239 3.8344 5.7771 V
2.3873 0.7889 2.1199 V
2.6655 1.3259 5.7324 V
4.9330 3.4061 2.2742 V
0.6124 3.6101 0.4916 O
1.1689 5.7039 5.7599 O
1.0580 2.1199 2.6584 O
1.6929 4.7989 2.7459 O
1.7256 3.0110 5.5956 O
1.6927 0.7988 0.4747 O
3.0865 1.1371 4.1532 O
3.5077 2.5923 1.9689 O
3.7543 5.2493 6.4933 O
4.1383 5.3249 1.6875 O
4.2321 2.3857 6.4924 O
4.5603 3.8956 4.1943 O
```

---

[4]
Diffraction record for Mn2VO4. The X-ray diffraction stick pattern is calculated, not measured: it uses the PBE+U geometry in the Materials Project and Cu Kα, 1.54184 Å.
Intensities are scaled so that the largest is 100.

Peak list (10 most intense, 2θ from 10° to 90°, in order of rising 2θ)
d 3.101, rel. 56
d 2.680, rel. 41
d 2.662, rel. 25
d 2.628, rel. 100
d 2.592, rel. 81
d 2.158, rel. 38
d 1.671, rel. 27
d 1.655, rel. 24
d 1.553, rel. 40
d 1.548, rel. 40

```
Mn2VO4
1.0
5.3931 -3.0913 0.0000
5.3931 3.0913 0.0000
-2.7663 0.0000 19.9339
Mn V O
16 8 32
Cartesian
0.0000 0.0000 0.0000 Mn
0.4832 0.0000 11.1434 Mn
4.5142 1.5416 3.0939 Mn
3.2704 1.5811 13.0427 Mn
3.7875 0.0000 6.1910 Mn
6.5936 1.5584 8.0484 Mn
5.2310 1.5685 18.0155 Mn
4.1520 0.0000 10.0388 Mn
4.1897 0.0000 15.6053 Mn
7.1144 0.0000 1.3660 Mn
4.5142 -1.5416 3.0939 Mn
3.2704 -1.5811 13.0427 Mn
7.4429 0.0000 5.0424 Mn
7.7744 0.0000 16.2516 Mn
6.5936 -1.5584 8.0484 Mn
5.2310 -1.5685 18.0155 Mn
0.2196 0.0000 5.5423 V
1.7988 0.0000 3.1846 V
0.6393 0.0000 14.8530 V
3.5137 0.0000 0.6370 V
2.6835 0.0000 18.2753 V
6.0755 0.0000 12.9594 V
7.7570 0.0000 10.4422 V
9.2973 0.0000 8.1094 V
1.4682 1.7682 11.7645 O
-1.5067 0.0000 11.6756 O
0.1557 0.0000 2.0732 O
2.6482 1.3199 1.8838 O
0.1881 0.0000 9.1057 O
3.1033 1.6689 9.3098 O
-0.7632 0.0000 19.3559 O
1.6248 1.3232 19.2638 O
4.7461 1.7665 6.8226 O
1.7792 0.0000 6.6927 O
0.5808 0.0000 16.6023 O
3.2387 1.3489 17.0285 O
3.4872 0.0000 4.1450 O
6.3926 1.6779 4.3307 O
2.3462 0.0000 14.3215 O
5.1888 1.6187 14.2484 O
2.6482 -1.3199 1.8838 O
5.0797 0.0000 1.7310 O
4.3294 0.0000 12.1418 O
1.4682 -1.7682 11.7645 O
1.6248 -1.3232 19.2638 O
4.1825 0.0000 19.2294 O
3.1033 -1.6689 9.3098 O
6.1043 0.0000 9.4004 O
3.2387 -1.3489 17.0285 O
5.8497 0.0000 16.8502 O
7.6434 0.0000 7.0829 O
4.7461 -1.7665 6.8226 O
7.5910 0.0000 14.1388 O
6.3926 -1.6779 4.3307 O
5.1888 -1.6187 14.2484 O
9.4027 0.0000 4.4339 O
```

---

[5]
Diffraction record for MnV2O10. The X-ray diffraction stick pattern is calculated, not measured: it uses the PBE+U geometry in the Materials Project and Cu Kα, 1.54184 Å.
Intensities are scaled so that the largest is 100.

Peak list (10 most intense, 2θ from 10° to 90°, in order of rising 2θ)
d 7.593, rel. 100
d 5.551, rel. 23
d 4.674, rel. 18
d 4.500, rel. 32
d 3.992, rel. 12
d 3.797, rel. 51
d 3.255, rel. 16
d 3.042, rel. 18
d 2.875, rel. 19
d 2.671, rel. 35

```
MnV2O10
1.0
6.9731 -4.6742 0.0000
6.9731 4.6742 0.0000
-2.5025 0.0000 6.5135
Mn V O
2 4 20
Cartesian
5.7218 2.4691 3.2567 Mn
6.9731 -2.4691 0.0000 Mn
0.1835 0.3309 5.4065 V
1.4347 -0.3309 2.1497 V
3.2591 0.3201 4.6162 V
4.5103 -0.3201 1.3595 V
6.0990 3.9445 4.5997 O
1.3772 0.4843 3.8781 O
4.0882 1.7685 4.4124 O
2.6284 -0.4843 0.6213 O
2.0678 0.4893 6.1396 O
7.5824 2.8966 2.3587 O
3.3190 -0.4893 2.8828 O
5.5369 0.7861 2.1455 O
7.1071 1.1021 5.1264 O
4.2857 -0.7861 5.4022 O
6.6769 0.9692 6.2720 O
5.3395 -1.7685 1.1557 O
7.9281 -0.9692 3.0153 O
8.3584 -1.1021 1.8696 O
10.1618 0.8852 5.1372 O
11.1158 0.2942 2.1389 O
9.8646 -0.2942 5.3957 O
6.3311 -2.8966 5.6155 O
11.4130 -0.8852 1.8804 O
7.3502 -3.9445 1.3430 O
```

---

[6]
Diffraction record for Mn5VO8. The X-ray diffraction stick pattern is calculated, not measured: it uses the PBE+U geometry in the Materials Project and Cu Kα, 1.54184 Å.
Intensities are scaled so that the largest is 100.

Peak list (10 most intense, 2θ from 10° to 90°, in order of rising 2θ)
d 3.290, rel. 45
d 3.266, rel. 58
d 2.735, rel. 58
d 2.569, rel. 98
d 2.493, rel. 41
d 2.213, rel. 100
d 2.205, rel. 91
d 2.175, rel. 88
d 1.591, rel. 47
d 1.579, rel. 89

```
Mn5VO8
1.0
5.5022 0.0000 0.0000
-0.0508 6.3136 0.0000
-1.7038 -3.0496 9.7984
Mn V O
10 2 16
Cartesian
0.0000 0.0000 0.0000 Mn
-0.0254 3.1568 0.0000 Mn
0.0683 0.0675 7.1784 Mn
0.9058 1.5802 2.5807 Mn
0.9116 4.8173 2.5840 Mn
0.9919 1.6878 9.7720 Mn
2.7556 1.5762 0.0264 Mn
2.8360 -1.5533 7.2144 Mn
2.8418 1.6838 7.2177 Mn
3.6793 3.1965 2.6200 Mn
0.0904 3.2257 5.6063 V
3.6572 0.0383 4.1921 V
-0.1960 0.0382 3.6141 O
-0.9961 -1.4050 8.7542 O
-0.9103 1.3973 8.6020 O
0.0614 3.2093 3.7922 O
1.6013 0.0216 1.0893 O
0.9287 -1.6517 6.1948 O
0.9241 1.8214 6.2009 O
1.8936 3.1983 1.3716 O
1.8540 0.0657 8.4268 O
2.8234 1.4426 3.5975 O
2.8189 4.9157 3.6036 O
2.1463 3.2424 8.7091 O
3.6862 0.0547 6.0062 O
4.6579 1.8667 1.1964 O
4.7436 4.6690 1.0442 O
3.9436 3.2258 6.1843 O
```

---

[7]
Diffraction record for Mn2VO4. The X-ray diffraction stick pattern is calculated, not measured: it uses the PBE+U geometry in the Materials Project and Cu Kα, 1.54184 Å.
Intensities are scaled so that the largest is 100.

Peak list (10 most intense, 2θ from 10° to 90°, in order of rising 2θ)
d 3.102, rel. 84
d 3.089, rel. 51
d 2.677, rel. 82
d 2.664, rel. 98
d 2.632, rel. 100
d 2.621, rel. 99
d 2.596, rel. 83
d 2.586, rel. 82
d 1.552, rel. 82
d 1.545, rel. 82

```
Mn2VO4
1.0
6.2074 0.0000 0.0000
-0.1808 6.2106 0.0000
-0.3332 -0.2690 17.2047
Mn V O
16 8 32
Cartesian
0.0000 0.0000 0.0000 Mn
6.0979 1.4567 3.2369 Mn
1.1932 1.3240 14.9912 Mn
1.3895 1.4229 6.4323 Mn
2.7463 1.4151 9.7074 Mn
3.0031 1.6566 1.0190 Mn
2.7354 2.9057 12.9021 Mn
2.6443 4.3419 16.1110 Mn
2.9265 3.0001 4.2840 Mn
2.8207 4.4903 7.4840 Mn
4.2777 1.3236 15.0166 Mn
4.2876 4.4495 10.7090 Mn
4.4897 4.6345 2.1357 Mn
5.8587 4.6503 5.3566 Mn
5.8671 1.2938 11.7198 Mn
5.8415 6.0144 8.5586 Mn
-0.0737 3.1263 0.1108 V
1.1321 4.4149 10.6882 V
1.4284 4.7168 2.2100 V
2.7208 -0.1219 12.8510 V
2.7914 6.1162 4.2535 V
4.4756 1.4615 6.4746 V
5.8599 2.8949 8.4968 V
5.7720 4.4675 13.9294 V
-0.3819 2.9987 14.9398 O
-0.2449 2.9967 10.5240 O
0.0055 3.1826 2.0258 O
-0.0634 5.9462 2.1285 O
-0.2143 5.7637 10.6524 O
1.0537 1.5194 8.5255 O
0.9187 1.4985 17.0694 O
1.1132 4.3444 8.7025 O
1.0302 4.4959 12.8385 O
1.3321 4.5964 0.2165 O
1.4016 4.6660 4.2000 O
1.3848 1.1804 12.8509 O
1.6380 1.3051 4.3233 O
2.5803 3.1577 10.8439 O
2.8185 3.3427 2.2050 O
2.6176 5.8472 10.9097 O
2.8068 6.1252 2.2302 O
2.6036 5.9373 14.7327 O
2.7124 2.7080 14.9337 O
3.0828 -0.0051 6.2813 O
3.0444 2.7551 6.3914 O
4.1541 4.7349 4.2226 O
4.1127 1.1992 12.8098 O
4.3947 1.3467 4.4439 O
4.4771 1.4578 8.4953 O
4.3019 4.4792 12.9132 O
4.4587 1.3686 17.1543 O
4.5491 4.3301 8.5964 O
4.4432 4.1713 17.2031 O
5.9045 0.1445 6.4922 O
5.8961 2.9041 6.5234 O
5.7312 5.9194 14.9534 O
```